[1]
BiS2Br2: simulated powder diffractogram (Cu Kα), based on a structure optimized by DFT (PBE).

Crystal structure
```
BiS2Br2
1.0
3.721 -7.258 0.000
3.721 7.258 0.000
-1.642 0.000 7.630
Bi S Br
2 4 4
Direct
0.166 0.834 0.000
0.834 0.166 0.000
0.051 0.051 0.230
0.239 0.239 0.080
0.761 0.761 0.920
0.949 0.949 0.770
0.046 0.482 0.767
0.482 0.046 0.767
0.518 0.954 0.233
0.954 0.518 0.233
```

Largest 10 diffraction maxima, low angle first, 10° ≤ 2θ ≤ 80°:
11.60 deg, d 7.630, rel. 100; 12.19 deg, d 7.258, rel. 43; 13.62 deg, d 6.504, rel. 40; 22.06 deg, d 4.029, rel. 18; 24.78 deg, d 3.593, rel. 17; 26.19 deg, d 3.403, rel. 47; 30.17 deg, d 2.962, rel. 18; 32.65 deg, d 2.743, rel. 22; 34.20 deg, d 2.622, rel. 20; 39.65 deg, d 2.273, rel. 26

[2]
Bi3S3Br: simulated powder diffractogram (Cu Kα), based on a structure optimized by DFT (PBE).

Crystal structure
```
Bi3S3Br
1.0
4.038 2.331 7.835
-4.038 2.331 7.835
0.000 -4.663 7.835
Bi S Br
6 6 2
Direct
0.147 0.338 0.819
0.181 0.853 0.662
0.338 0.819 0.147
0.662 0.181 0.853
0.819 0.147 0.338
0.853 0.662 0.181
0.067 0.757 0.539
0.243 0.461 0.933
0.461 0.933 0.243
0.539 0.067 0.757
0.757 0.539 0.067
0.933 0.243 0.461
0.353 0.353 0.353
0.647 0.647 0.647
```

Largest 10 diffraction maxima, low angle first, 10° ≤ 2θ ≤ 80°:
11.29 deg, d 7.835, rel. 29; 19.73 deg, d 4.499, rel. 32; 22.72 deg, d 3.914, rel. 37; 24.80 deg, d 3.589, rel. 100; 26.59 deg, d 3.352, rel. 26; 31.84 deg, d 2.811, rel. 45; 34.13 deg, d 2.627, rel. 60; 34.78 deg, d 2.579, rel. 34; 43.57 deg, d 2.077, rel. 24; 46.19 deg, d 1.965, rel. 25